No. 1
Starting from the PBE geometry in the Materials Project, the X-ray powder pattern of BaNaNbBiO6 was computed for Cu Kα X-rays.

Largest 6 diffraction maxima, by angle, 10 to 80 degrees two-theta:
- 2θ = 18.1°, d 4.899, I 25
- 2θ = 20.9°, d 4.243, I 22
- 2θ = 29.8°, d 3.000, I 100
- 2θ = 42.6°, d 2.121, I 32
- 2θ = 52.9°, d 1.732, I 41
- 2θ = 61.9°, d 1.500, I 20

Structure:
Lattice parameters (Å, degrees): 5.9999 5.9999 5.9999 60.00 60.00 60.00
Atoms (fractional coordinates):
Ba: 0.0000 0.0000 0.0000
Na: 0.5000 0.5000 0.5000
Nb: 0.7500 0.7500 0.7500
Bi: 0.2500 0.2500 0.2500
O: 0.5131 0.5131 0.9869
O: 0.5131 0.9869 0.5131
O: 0.5131 0.9869 0.9869
O: 0.9869 0.5131 0.5131
O: 0.9869 0.5131 0.9869
O: 0.9869 0.9869 0.5131



No. 2
Starting from the PBE geometry in the Materials Project, the X-ray powder pattern of BaNaPrBiO6 was computed for Cu Kα X-rays.

Largest 6 diffraction maxima, by angle, 10 to 80 degrees two-theta:
- 2θ = 20.2°, d 4.391, I 17
- 2θ = 28.8°, d 3.099, I 100
- 2θ = 41.1°, d 2.196, I 19
- 2θ = 51.0°, d 1.791, I 31
- 2θ = 51.1°, d 1.786, I 16
- 2θ = 59.7°, d 1.548, I 11

Structure:
Lattice parameters (Å, degrees): 8.7353 8.7769 8.7870 90.00 90.00 90.00
Atoms (fractional coordinates):
Ba: 0.2500 0.2500 0.2500
Ba: 0.2500 0.7500 0.2500
Ba: 0.7500 0.2500 0.7500
Ba: 0.7500 0.7500 0.7500
Na: 0.2500 0.2500 0.7500
Na: 0.2500 0.7500 0.7500
Na: 0.7500 0.2500 0.2500
Na: 0.7500 0.7500 0.2500
Pr: 0.0000 0.0000 0.0000
Pr: 0.0000 0.5000 0.5000
Pr: 0.5000 0.0000 0.5000
Pr: 0.5000 0.5000 0.0000
Bi: 0.0000 0.0000 0.5000
Bi: 0.0000 0.5000 0.0000
Bi: 0.5000 0.0000 0.0000
Bi: 0.5000 0.5000 0.5000
O: 0.0459 0.0175 0.2619
O: 0.0459 0.4825 0.2381
O: 0.0566 0.2361 0.5305
O: 0.0566 0.2639 0.9695
O: 0.2355 0.5628 0.9725
O: 0.2355 0.9372 0.5275
O: 0.2645 0.5628 0.5275
O: 0.2645 0.9372 0.9725
O: 0.4434 0.2361 0.9695
O: 0.4434 0.2639 0.5305
O: 0.4541 0.0175 0.2381
O: 0.4541 0.4825 0.2619
O: 0.5459 0.5175 0.7381
O: 0.5459 0.9825 0.7619
O: 0.5566 0.7361 0.4695
O: 0.5566 0.7639 0.0305
O: 0.7355 0.0628 0.0275
O: 0.7355 0.4372 0.4725
O: 0.7645 0.0628 0.4725
O: 0.7645 0.4372 0.0275
O: 0.9434 0.7361 0.0305
O: 0.9434 0.7639 0.4695
O: 0.9541 0.5175 0.7619
O: 0.9541 0.9825 0.7381